1.
Structure and theoretical powder X-ray diffraction pattern of Tm4SnHg5 (a DFT-relaxed cell (PBE, Alexandria); Cu Kα).
No peak broadening, texture or thermal motion is included.

Atomic structure:
a b c (Å): 3.7541 3.7541 17.5537
angles (deg): 90.00 90.00 90.00
Space group P4/mmm (No. 123)
Asymmetric unit:
Tm 0.0000 0.0000 0.1019 [2 per cell]
Tm 0.0000 0.0000 0.3069 [2 per cell]
Sn 0.0000 0.0000 0.5000 [1 per cell]
Hg 0.5000 0.5000 0.0000 [1 per cell]
Hg 0.5000 0.5000 0.1996 [2 per cell]
Hg 0.5000 0.5000 0.4002 [2 per cell]

Principal peaks in the range 2θ = 5–70°, sorted by position:
- 2θ = 33.77°, I 55.5
- 2θ = 34.99°, I 100.0
- 2θ = 48.50°, I 20.4
- 2θ = 52.10°, I 7.9
- 2θ = 61.19°, I 40.6
- 2θ = 63.54°, I 17.6



2.
Structure and theoretical powder X-ray diffraction pattern of Tl7CdHg3 (a DFT-relaxed cell (PBE, Alexandria); Cu Kα).
No peak broadening, texture or thermal motion is included.

Atomic structure:
a b c (Å): 6.2586 6.6262 8.3058
angles (deg): 76.85 72.76 86.55
Space group P1 (No. 1)
Asymmetric unit:
Tl 0.0000 0.0000 0.0000 [1 per cell]
Tl 0.0556 0.9083 0.5852 [1 per cell]
Tl 0.2431 0.5285 0.8660 [1 per cell]
Tl 0.4369 0.1479 0.1450 [1 per cell]
Tl 0.6264 0.7715 0.4259 [1 per cell]
Tl 0.8122 0.3874 0.7099 [1 per cell]
Tl 0.8729 0.2989 0.2920 [1 per cell]
Cd 0.5200 0.9744 0.7721 [1 per cell]
Hg 0.1931 0.6629 0.2745 [1 per cell]
Hg 0.3545 0.3121 0.5271 [1 per cell]
Hg 0.6767 0.6332 0.0220 [1 per cell]

Principal peaks in the range 2θ = 5–70°, sorted by position:
- 2θ = 31.76°, I 100.0
- 2θ = 32.33°, I 69.1
- 2θ = 32.44°, I 93.0
- 2θ = 32.97°, I 65.8
- 2θ = 33.13°, I 88.8
- 2θ = 33.60°, I 62.7



3.
Structure and theoretical powder X-ray diffraction pattern of Ca6CdIn2 (a DFT-relaxed cell (PBE, Alexandria); Cu Kα).
No peak broadening, texture or thermal motion is included.

Atomic structure:
a b c (Å): 10.3201 10.3460 5.4478
angles (deg): 90.00 90.00 90.00
Space group Pnnm (No. 58)
Asymmetric unit:
Ca 0.0294 0.1899 0.0000 [4 per cell]
Ca 0.1238 0.6210 0.5000 [4 per cell]
Ca 0.1891 0.9678 0.5000 [4 per cell]
Cd 0.0000 0.5000 0.0000 [2 per cell]
In 0.2053 0.2913 0.5000 [4 per cell]

Principal peaks in the range 2θ = 5–70°, sorted by position:
- 2θ = 12.11°, I 23.4
- 2θ = 20.33°, I 23.7
- 2θ = 30.71°, I 100.0
- 2θ = 31.94°, I 41.5
- 2θ = 32.88°, I 31.5
- 2θ = 36.91°, I 20.5



4.
Structure and theoretical powder X-ray diffraction pattern of UCo2B2 (a DFT-relaxed cell (PBE, Alexandria); Cu Kα).
No peak broadening, texture or thermal motion is included.

Atomic structure:
a b c (Å): 3.2819 9.9308 6.7747
angles (deg): 90.00 90.00 90.00
Space group Cmc2_1 (No. 36)
Asymmetric unit:
U 0.0000 0.0811 0.0000 [4 per cell]
Co 0.0000 0.2016 0.6116 [4 per cell]
Co 0.0000 0.3888 0.8589 [4 per cell]
B 0.0000 0.2536 0.3070 [4 per cell]
B 0.0000 0.4146 0.1911 [4 per cell]

Principal peaks in the range 2θ = 5–70°, sorted by position:
- 2θ = 22.20°, I 41.2
- 2θ = 26.31°, I 40.2
- 2θ = 28.65°, I 37.8
- 2θ = 38.62°, I 37.6
- 2θ = 39.29°, I 64.6
- 2θ = 40.95°, I 100.0



5.
Structure and theoretical powder X-ray diffraction pattern of SmDy2Bi (a DFT-relaxed cell (PBE, Alexandria); Cu Kα).
No peak broadening, texture or thermal motion is included.

Atomic structure:
a b c (Å): 4.6585 4.6223 11.7819
angles (deg): 90.00 101.41 90.00
Space group P2_1/m (No. 11)
Asymmetric unit:
Sm 0.1937 0.2500 0.3867 [2 per cell]
Dy 0.0595 0.7500 0.1190 [2 per cell]
Dy 0.4417 0.7500 0.8833 [2 per cell]
Bi 0.3336 0.2500 0.6685 [2 per cell]

Principal peaks in the range 2θ = 5–70°, sorted by position:
- 2θ = 27.46°, I 25.2
- 2θ = 29.59°, I 64.5
- 2θ = 30.97°, I 34.7
- 2θ = 33.50°, I 100.0
- 2θ = 38.66°, I 32.8
- 2θ = 38.97°, I 31.9



6.
Structure and theoretical powder X-ray diffraction pattern of Ca2AcCeAs4 (a DFT-relaxed cell (PBE, Alexandria); Cu Kα).
No peak broadening, texture or thermal motion is included.

Atomic structure:
a b c (Å): 7.3627 4.3805 7.5784
angles (deg): 90.00 110.23 90.00
Space group P2/m (No. 10)
Asymmetric unit:
Ca 0.0000 0.0000 0.0000 [1 per cell]
Ca 0.0000 0.5000 0.5000 [1 per cell]
Ac 0.5000 0.0000 0.5000 [1 per cell]
Ce 0.5000 0.5000 0.0000 [1 per cell]
As 0.2488 0.5000 0.2334 [2 per cell]
As 0.2597 0.0000 0.7673 [2 per cell]

Principal peaks in the range 2θ = 5–70°, sorted by position:
- 2θ = 12.81°, I 30.1
- 2θ = 23.86°, I 20.9
- 2θ = 29.19°, I 100.0
- 2θ = 41.24°, I 38.4
- 2θ = 42.22°, I 24.4
- 2θ = 67.86°, I 17.4



Q: Number 5 is which compound?
A: SmDy2Bi